1.
The following is a theoretical XRD peak list of Ba2TcN4. It was derived from a crystal structure in Alexandria, relaxed with PBE, using Cu Kα (λ = 1.5418 Å).
Peak positions follow from Bragg's law for the DFT cell and can differ from measured ones.

Most intense lines, 2θ = 10–80°, low angle first:
| Position (°2θ) | I/Imax |
| --- | --- |
| 20.6 | 44 |
| 22.0 | 49 |
| 27.8 | 100 |
| 28.8 | 73 |
| 35.6 | 56 |
| 42.0 | 41 |

a = 6.3414 Å, b = 6.1937 Å, c = 7.8269 Å
α = 90.00°, β = 109.20°, γ = 90.00°
Element x y z (fractional)
1 Ba 0.1980 0.2500 0.0235
2 Ba 0.2949 0.2500 0.5626
3 Ba 0.7051 0.7500 0.4374
4 Ba 0.8020 0.7500 0.9765
5 Tc 0.2360 0.7500 0.7866
6 Tc 0.7640 0.2500 0.2134
7 N 0.0557 0.5139 0.7277
8 N 0.0557 0.9861 0.7277
9 N 0.3814 0.7500 0.0317
10 N 0.4416 0.7500 0.6701
11 N 0.5584 0.2500 0.3299
12 N 0.6186 0.2500 0.9683
13 N 0.9443 0.0139 0.2723
14 N 0.9443 0.4861 0.2723

2.
The following is a theoretical XRD peak list of ErThIrPt. It was derived from a crystal structure in Alexandria, relaxed with PBE, using Cu Kα (λ = 1.5418 Å).
Peak positions follow from Bragg's law for the DFT cell and can differ from measured ones.

Most intense lines, 2θ = 10–80°, low angle first:
| Position (°2θ) | I/Imax |
| --- | --- |
| 30.7 | 51 |
| 31.1 | 100 |
| 44.3 | 77 |
| 44.5 | 38 |
| 55.1 | 41 |
| 72.9 | 18 |

a = 4.0729 Å, b = 4.0722 Å, c = 5.8161 Å
α = 90.00°, β = 90.04°, γ = 90.00°
Element x y z (fractional)
1 Er 0.0000 0.0000 0.0000
2 Th 0.4986 0.5000 0.5020
3 Ir 0.9987 0.0000 0.5003
4 Pt 0.5000 0.5000 0.0020

3.
The following is a theoretical XRD peak list of ThAlZnNi2. It was derived from a crystal structure in Alexandria, relaxed with PBE, using Cu Kα (λ = 1.5418 Å).
Peak positions follow from Bragg's law for the DFT cell and can differ from measured ones.

Most intense lines, 2θ = 10–80°, low angle first:
| Position (°2θ) | I/Imax |
| --- | --- |
| 14.5 | 62 |
| 24.7 | 40 |
| 32.3 | 100 |
| 33.9 | 51 |
| 36.4 | 66 |
| 44.2 | 75 |

a = 6.6549 Å, b = 6.6549 Å, c = 5.3982 Å
α = 90.00°, β = 90.00°, γ = 133.23°
Element x y z (fractional)
1 Th 0.2500 0.7500 0.7640
2 Th 0.7500 0.2500 0.2360
3 Al 0.2500 0.2500 0.5000
4 Al 0.7500 0.7500 0.5000
5 Zn 0.0000 0.0000 0.0000
6 Zn 0.5000 0.5000 0.0000
7 Ni 0.1494 0.8506 0.2971
8 Ni 0.3506 0.6494 0.2971
9 Ni 0.6494 0.3506 0.7029
10 Ni 0.8506 0.1494 0.7029

4.
The following is a theoretical XRD peak list of Tb2ErAu. It was derived from a crystal structure in Alexandria, relaxed with PBE, using Cu Kα (λ = 1.5418 Å).
Peak positions follow from Bragg's law for the DFT cell and can differ from measured ones.

Most intense lines, 2θ = 10–80°, low angle first:
| Position (°2θ) | I/Imax |
| --- | --- |
| 30.6 | 55 |
| 31.1 | 68 |
| 31.6 | 100 |
| 32.5 | 67 |
| 33.3 | 34 |
| 56.7 | 32 |

a = 6.9529 Å, b = 9.7459 Å, c = 6.6793 Å
α = 90.00°, β = 90.00°, γ = 90.00°
Element x y z (fractional)
1 Tb 0.1993 0.0546 0.1954
2 Tb 0.1993 0.4454 0.1954
3 Tb 0.3007 0.5546 0.6954
4 Tb 0.3007 0.9454 0.6954
5 Tb 0.6993 0.0546 0.3046
6 Tb 0.6993 0.4454 0.3046
7 Tb 0.8007 0.5546 0.8046
8 Tb 0.8007 0.9454 0.8046
9 Er 0.0162 0.2500 0.6175
10 Er 0.4838 0.7500 0.1175
11 Er 0.5162 0.2500 0.8825
12 Er 0.9838 0.7500 0.3825
13 Au 0.0858 0.7500 0.9646
14 Au 0.4142 0.2500 0.4646
15 Au 0.5858 0.7500 0.5354
16 Au 0.9142 0.2500 0.0354

5.
The following is a theoretical XRD peak list of LiAcPPt2. It was derived from a crystal structure in Alexandria, relaxed with PBE, using Cu Kα (λ = 1.5418 Å).
Peak positions follow from Bragg's law for the DFT cell and can differ from measured ones.

Most intense lines, 2θ = 10–80°, low angle first:
| Position (°2θ) | I/Imax |
| --- | --- |
| 22.5 | 38 |
| 32.9 | 47 |
| 34.0 | 100 |
| 41.4 | 22 |
| 48.4 | 24 |
| 54.6 | 23 |

a = 4.2648 Å, b = 4.3602 Å, c = 10.4808 Å
α = 90.00°, β = 90.00°, γ = 90.00°
Element x y z (fractional)
1 Li 0.0000 0.0000 0.0000
2 Li 0.5000 0.5000 0.5000
3 Ac 0.0000 0.5000 0.2479
4 Ac 0.5000 0.0000 0.7479
5 P 0.0000 0.5000 0.8839
6 P 0.5000 0.0000 0.3839
7 Pt 0.0000 0.0000 0.4822
8 Pt 0.0000 0.5000 0.6567
9 Pt 0.5000 0.0000 0.1567
10 Pt 0.5000 0.5000 0.9822